No. 1
# BaLa3Pa4N12
Calculated powder diffractogram, Cu Kα (weighted mean of Kα1 and Kα2). Input: a crystal structure in Alexandria, relaxed with GGA-PBE.
Intensities are scaled so that the largest is 100.

Atomic structure:
```
20
Lattice="-4.339 4.339 4.339 4.339 -4.339 4.339 4.339 4.339 -4.339" Properties=species:S:1:pos:R:3 pbc="T T T"
Ba 0.000 0.000 0.000
La 4.339 0.000 0.000
La 0.000 4.339 0.000
La 0.000 0.000 4.339
Pa 2.170 2.170 -2.170
Pa 2.170 -2.170 2.170
Pa -2.170 2.170 2.170
Pa 2.170 2.170 2.170
N 4.339 2.501 -1.779
N 2.560 0.000 1.838
N 6.118 0.000 1.838
N 1.838 2.560 0.000
N 2.501 -1.779 4.339
N 4.339 2.501 1.779
N 0.000 1.838 2.560
N 1.838 6.118 0.000
N 2.501 1.779 4.339
N -1.779 4.339 2.501
N 1.779 4.339 2.501
N 0.000 1.838 6.118
```

Most intense lines, 2θ = 10–90°, sorted by position:
2θ (°)	Rel. int.
20.47	10
29.10	100
35.85	1
41.63	24
46.82	5
51.60	45
60.33	15
64.42	2
68.37	19
72.21	1
75.97	5
83.33	23

***

No. 2
# Ta2Ti5Ga5
Calculated powder diffractogram, Cu Kα (weighted mean of Kα1 and Kα2). Input: a crystal structure in Alexandria, relaxed with GGA-PBE.
Intensities are scaled so that the largest is 100.

Atomic structure:
```
12
Lattice="6.002 -1.912 0.000 6.002 1.912 0.000 -4.395 0.000 8.645" Properties=species:S:1:pos:R:3 pbc="T T T"
Ta -0.074 0.000 2.103
Ta 7.682 0.000 6.541
Ti 1.862 0.000 4.418
Ti 3.744 0.000 2.205
Ti 6.002 0.000 0.000
Ti 3.864 0.000 6.440
Ti 5.745 0.000 4.227
Ga -2.198 0.000 4.322
Ga -2.335 0.000 8.541
Ga -0.198 0.000 6.267
Ga 7.806 0.000 2.378
Ga 9.943 0.000 0.104
```

Most intense lines, 2θ = 10–90°, sorted by position:
2θ (°)	Rel. int.
15.01	18
20.55	14
23.18	12
24.72	26
27.72	18
38.10	100
39.25	96
41.80	37
45.38	30
47.55	28
65.14	21
67.83	18

***

No. 3
# PdSe
Calculated powder diffractogram, Cu Kα (weighted mean of Kα1 and Kα2). Input: a crystal structure in Alexandria, relaxed with GGA-PBE.
Intensities are scaled so that the largest is 100.

Atomic structure:
```
16
Lattice="6.843 0.000 0.000 0.000 6.843 0.000 0.000 0.000 7.023" Properties=species:S:1:pos:R:3 pbc="T T T"
Pd 0.000 0.000 1.756
Pd 0.000 0.000 5.267
Pd 0.000 3.421 0.000
Pd 1.787 3.624 3.511
Pd 3.218 1.787 0.000
Pd 3.421 0.000 3.511
Pd 3.624 5.055 0.000
Pd 5.055 3.218 3.511
Se 1.329 2.102 1.602
Se 1.329 2.102 5.421
Se 2.102 5.513 1.909
Se 2.102 5.513 5.113
Se 4.740 1.329 1.909
Se 4.740 1.329 5.113
Se 5.513 4.740 1.602
Se 5.513 4.740 5.421
```

Most intense lines, 2θ = 10–90°, sorted by position:
2θ (°)	Rel. int.
28.57	72
29.03	61
29.18	95
31.48	31
31.90	100
36.67	38
39.04	63
45.53	57
48.99	43
49.48	71
52.09	33
55.36	31

***

No. 4
# Ag4SnF10
Calculated powder diffractogram, Cu Kα (weighted mean of Kα1 and Kα2). Input: a crystal structure in Alexandria, relaxed with GGA-PBE.
Intensities are scaled so that the largest is 100.

Atomic structure:
```
15
Lattice="5.508 0.000 0.000 2.754 6.188 0.000 2.744 -0.010 6.199" Properties=species:S:1:pos:R:3 pbc="T T T"
Ag 1.374 0.693 1.342
Ag 4.125 1.749 3.795
Ag 6.881 4.429 2.404
Ag 9.632 5.485 4.857
Sn 4.131 3.094 0.000
F 2.884 4.823 0.281
F 2.889 2.813 1.733
F 2.750 -0.001 3.093
F 5.636 3.369 4.465
F 5.640 1.356 5.916
F 5.366 4.822 0.283
F 5.370 2.810 1.734
F 8.256 6.179 3.106
F 8.116 3.365 4.466
F 8.122 1.355 5.917
```

Most intense lines, 2θ = 10–90°, sorted by position:
2θ (°)	Rel. int.
27.95	100
32.32	16
32.51	7
46.30	9
46.47	38
46.54	10
54.97	14
55.05	14
55.26	14
67.65	5
74.97	7
77.06	5

***

No. 5
# Sr3LaSb2P
Calculated powder diffractogram, Cu Kα (weighted mean of Kα1 and Kα2). Input: a crystal structure in Alexandria, relaxed with GGA-PBE.
Intensities are scaled so that the largest is 100.

Atomic structure:
```
7
Lattice="-2.764 2.791 8.588 2.764 -2.791 8.588 2.764 2.791 -8.588" Properties=species:S:1:pos:R:3 pbc="T T T"
Sr 0.000 0.000 0.000
Sr 2.764 0.000 3.040
Sr 0.000 2.791 5.548
La 0.000 0.000 8.588
Sb 2.764 0.000 6.348
Sb 0.000 2.791 2.240
P 2.764 0.000 0.000
```

Most intense lines, 2θ = 10–90°, sorted by position:
2θ (°)	Rel. int.
10.30	26
22.64	24
24.93	75
30.61	42
30.85	100
31.25	23
32.07	45
32.39	44
44.94	19
46.22	32
56.40	18
56.83	34

***

No. 6
# Pr6Co2Cu
Calculated powder diffractogram, Cu Kα (weighted mean of Kα1 and Kα2). Input: a crystal structure in Alexandria, relaxed with GGA-PBE.
Intensities are scaled so that the largest is 100.

Atomic structure:
```
18
Lattice="-4.820 4.988 5.056 4.820 -4.988 5.056 4.820 4.988 -5.056" Properties=species:S:1:pos:R:3 pbc="T T T"
Pr 4.820 3.090 -2.695
Pr 2.695 1.772 0.000
Pr 6.946 1.772 0.000
Pr 1.787 4.988 -1.762
Pr 3.034 0.000 3.294
Pr 0.000 1.898 2.361
Pr 4.820 3.090 2.695
Pr 1.787 4.988 1.762
Pr 3.034 0.000 6.818
Pr -2.125 3.216 5.056
Pr 2.125 3.216 5.056
Pr 0.000 1.898 7.750
Co 4.820 0.000 1.142
Co 0.000 3.339 0.000
Co 0.000 6.637 0.000
Co 0.000 4.988 3.914
Cu 0.000 0.000 0.000
Cu 0.000 0.000 5.056
```

Most intense lines, 2θ = 10–90°, sorted by position:
2θ (°)	Rel. int.
25.53	21
27.94	19
28.25	20
29.19	31
31.29	83
33.61	100
33.93	45
34.34	29
37.31	21
39.98	17
56.92	23
58.25	28

***

No. 7
# In4Br7
Calculated powder diffractogram, Cu Kα (weighted mean of Kα1 and Kα2). Input: a crystal structure in Alexandria, relaxed with GGA-PBE.
Intensities are scaled so that the largest is 100.

Atomic structure:
```
44
Lattice="6.911 -3.842 0.000 6.911 3.842 0.000 -4.540 0.000 32.154" Properties=species:S:1:pos:R:3 pbc="T T T"
In 3.455 1.921 0.000
In 3.442 1.989 4.019
In 3.508 2.105 10.105
In 3.506 2.543 24.116
In 3.500 1.939 16.651
In 3.512 1.939 31.581
In 8.044 2.105 5.972
In 8.110 1.989 12.058
In 1.185 -1.921 16.077
In 1.172 -1.989 20.096
In 1.238 -2.105 26.182
In 5.770 -1.939 0.574
In 5.782 -1.939 15.503
In 5.776 -2.543 8.039
In 5.774 -2.105 22.049
In 5.840 -1.989 28.135
Br 3.732 2.611 7.600
Br -2.723 0.033 20.978
Br -0.453 -0.033 4.901
Br 1.854 0.447 1.624
Br 1.277 1.278 21.382
Br -0.416 -0.447 17.701
Br 1.694 0.267 14.508
Br 5.577 1.315 1.605
Br -0.576 -0.267 30.585
Br 7.820 2.611 8.477
Br 1.927 0.250 26.804
Br 5.975 1.315 14.472
Br 4.197 -0.250 10.727
Br 3.547 -1.278 5.305
Br 5.734 1.278 26.849
Br 5.085 0.250 21.427
Br 3.307 -1.315 17.682
Br 7.355 -0.250 5.350
Br 1.462 -2.611 23.677
Br 9.858 0.267 1.569
Br 3.705 -1.315 30.549
Br 7.588 -0.267 17.646
Br 9.698 0.447 14.453
Br 8.004 -1.278 10.772
Br 7.428 -0.447 30.530
Br 9.734 0.033 27.253
Br 12.004 -0.033 11.176
Br 5.550 -2.611 24.554
```

Most intense lines, 2θ = 10–90°, sorted by position:
2θ (°)	Rel. int.
13.29	47
16.54	65
18.46	49
22.50	100
25.10	46
26.47	81
27.57	56
28.96	69
29.12	54
29.58	73
40.29	46
45.94	47

***

No. 8
# Sc2Mn2Co15
Calculated powder diffractogram, Cu Kα (weighted mean of Kα1 and Kα2). Input: a crystal structure in Alexandria, relaxed with GGA-PBE.
Intensities are scaled so that the largest is 100.

Atomic structure:
```
19
Lattice="4.115 2.376 4.024 -4.115 2.376 4.024 0.000 -4.751 4.024" Properties=species:S:1:pos:R:3 pbc="T T T"
Sc 0.000 0.000 1.818
Sc 0.000 0.000 10.253
Mn 0.000 0.000 4.754
Mn 0.000 0.000 7.317
Co -2.057 -1.188 4.024
Co 0.000 -2.431 3.811
Co -2.105 1.215 3.811
Co -1.201 -2.079 6.035
Co -2.401 0.000 6.035
Co -2.105 -1.215 8.259
Co -2.057 1.188 8.047
Co 1.201 -2.079 6.035
Co 0.000 2.376 4.024
Co -1.201 2.079 6.035
Co 2.105 1.215 3.811
Co 2.401 0.000 6.035
Co 1.201 2.079 6.035
Co 2.105 -1.215 8.260
Co 0.000 2.431 8.260
```

Most intense lines, 2θ = 10–90°, sorted by position:
2θ (°)	Rel. int.
14.43	17
21.60	28
37.87	27
39.12	36
44.01	63
44.28	91
45.08	51
45.38	25
49.78	100
50.50	25
80.93	19
82.61	16

***

No. 9
# Tl4InBi2
Calculated powder diffractogram, Cu Kα (weighted mean of Kα1 and Kα2). Input: a crystal structure in Alexandria, relaxed with GGA-PBE.
Intensities are scaled so that the largest is 100.

Atomic structure:
```
7
Lattice="5.253 0.000 0.000 2.569 6.121 0.000 2.550 0.453 7.470" Properties=species:S:1:pos:R:3 pbc="T T T"
Tl 1.317 1.345 0.703
Tl 3.881 2.135 4.095
Tl 6.490 4.439 3.375
Tl 9.054 5.230 6.768
In 1.275 0.226 3.735
Bi 3.869 4.002 1.274
Bi 6.502 2.572 6.196
```

Most intense lines, 2θ = 10–90°, sorted by position:
2θ (°)	Rel. int.
25.23	22
27.92	28
28.23	28
29.23	20
30.95	23
32.19	26
32.59	27
33.87	100
34.14	62
34.76	29
35.12	28
36.07	22